[1]
Diffraction record for HfBeAlCu. The XRD peak list is computed, not measured: it uses a DFT-relaxed cell (PBE, OQMD) and Cu Kα (weighted mean of Kα1 and Kα2).
Intensities are scaled so that the largest is 100.

Most intense lines, 2θ = 10–90°, in order of rising 2θ:
2θ (°)  I_rel
25.31  85
29.31  27
41.93  100
49.61  42
51.97  8
60.79  16
66.92  17
68.90  11
76.58  33
82.18  13

Crystal structure
Cell: 6.095 6.095 6.095 Å, 90.00 90.00 90.00°
Positions (direct):
Hf: 0.000 0.000 0.000
Hf: 0.000 0.500 0.500
Hf: 0.500 0.000 0.500
Hf: 0.500 0.500 0.000
Be: 0.250 0.250 0.250
Be: 0.250 0.750 0.750
Be: 0.750 0.250 0.750
Be: 0.750 0.750 0.250
Al: 0.000 0.000 0.500
Al: 0.000 0.500 0.000
Al: 0.500 0.000 0.000
Al: 0.500 0.500 0.500
Cu: 0.250 0.250 0.750
Cu: 0.250 0.750 0.250
Cu: 0.750 0.250 0.250
Cu: 0.750 0.750 0.750

[2]
Diffraction record for MgBeAlCu. The XRD peak list is computed, not measured: it uses a DFT-relaxed cell (PBE, OQMD) and Cu Kα (weighted mean of Kα1 and Kα2).
Intensities are scaled so that the largest is 100.

Most intense lines, 2θ = 10–90°, in order of rising 2θ:
2θ (°)  I_rel
25.57  37
29.61  31
42.37  100
50.15  17
52.54  8
61.47  16
67.69  6
69.70  9
77.50  30
83.20  5

Crystal structure
Cell: 6.034 6.034 6.034 Å, 90.00 90.00 90.00°
Positions (direct):
Mg: 0.000 0.000 0.000
Mg: 0.000 0.500 0.500
Mg: 0.500 0.000 0.500
Mg: 0.500 0.500 0.000
Be: 0.250 0.250 0.750
Be: 0.250 0.750 0.250
Be: 0.750 0.250 0.250
Be: 0.750 0.750 0.750
Al: 0.250 0.250 0.250
Al: 0.250 0.750 0.750
Al: 0.750 0.250 0.750
Al: 0.750 0.750 0.250
Cu: 0.000 0.000 0.500
Cu: 0.000 0.500 0.000
Cu: 0.500 0.000 0.000
Cu: 0.500 0.500 0.500

[3]
Diffraction record for BeAlCuMo. The XRD peak list is computed, not measured: it uses a DFT-relaxed cell (PBE, OQMD) and Cu Kα (weighted mean of Kα1 and Kα2).
Intensities are scaled so that the largest is 100.

Most intense lines, 2θ = 10–90°, in order of rising 2θ:
2θ (°)  I_rel
26.13  59
30.26  8
43.32  100
51.30  27
53.76  2
62.94  16
69.34  10
71.42  3
79.49  32
85.40  8

Crystal structure
Cell: 5.907 5.907 5.907 Å, 90.00 90.00 90.00°
Positions (direct):
Be: 0.000 0.000 0.000
Be: 0.000 0.500 0.500
Be: 0.500 0.000 0.500
Be: 0.500 0.500 0.000
Al: 0.250 0.250 0.750
Al: 0.250 0.750 0.250
Al: 0.750 0.250 0.250
Al: 0.750 0.750 0.750
Cu: 0.000 0.000 0.500
Cu: 0.000 0.500 0.000
Cu: 0.500 0.000 0.000
Cu: 0.500 0.500 0.500
Mo: 0.250 0.250 0.250
Mo: 0.250 0.750 0.750
Mo: 0.750 0.250 0.750
Mo: 0.750 0.750 0.250

[4]
Diffraction record for BeAlCuMo. The XRD peak list is computed, not measured: it uses a DFT-relaxed cell (PBE, OQMD) and Cu Kα (weighted mean of Kα1 and Kα2).
Intensities are scaled so that the largest is 100.

Most intense lines, 2θ = 10–90°, in order of rising 2θ:
2θ (°)  I_rel
26.24  8
30.39  62
43.51  100
51.53  4
54.00  15
63.23  16
69.67  2
71.76  19
79.88  32
85.84  1

Crystal structure
Cell: 5.883 5.883 5.883 Å, 90.00 90.00 90.00°
Positions (direct):
Be: 0.000 0.000 0.000
Be: 0.000 0.500 0.500
Be: 0.500 0.000 0.500
Be: 0.500 0.500 0.000
Al: 0.000 0.000 0.500
Al: 0.000 0.500 0.000
Al: 0.500 0.000 0.000
Al: 0.500 0.500 0.500
Cu: 0.250 0.250 0.750
Cu: 0.250 0.750 0.250
Cu: 0.750 0.250 0.250
Cu: 0.750 0.750 0.750
Mo: 0.250 0.250 0.250
Mo: 0.250 0.750 0.750
Mo: 0.750 0.250 0.750
Mo: 0.750 0.750 0.250

[5]
Diffraction record for BeAl2Cu4Ni. The XRD peak list is computed, not measured: it uses a DFT-relaxed cell (PBE, OQMD) and Cu Kα (weighted mean of Kα1 and Kα2).
Intensities are scaled so that the largest is 100.

Most intense lines, 2θ = 10–90°, in order of rising 2θ:
2θ (°)  I_rel
28.42  7
31.22  19
31.78  11
35.94  11
44.73  50
45.15  100
65.12  14
66.41  7
82.76  26
83.65  13

Crystal structure
Cell: 6.937 6.937 6.937 Å, 131.21 131.21 71.47°
Positions (direct):
Be: 0.375 0.625 0.750
Be: 0.625 0.375 0.250
Al: 0.111 0.361 0.750
Al: 0.361 0.111 0.250
Al: 0.639 0.889 0.750
Al: 0.889 0.639 0.250
Cu: 0.000 0.275 0.275
Cu: 0.000 0.725 0.725
Cu: 0.275 0.000 0.775
Cu: 0.275 0.500 0.275
Cu: 0.500 0.275 0.775
Cu: 0.500 0.725 0.225
Cu: 0.725 0.000 0.225
Cu: 0.725 0.500 0.725
Ni: 0.125 0.875 0.250
Ni: 0.875 0.125 0.750

[6]
Diffraction record for ScBeAl2Cu4. The XRD peak list is computed, not measured: it uses a DFT-relaxed cell (PBE, OQMD) and Cu Kα (weighted mean of Kα1 and Kα2).
Intensities are scaled so that the largest is 100.

Most intense lines, 2θ = 10–90°, in order of rising 2θ:
2θ (°)  I_rel
29.35  16
30.19  25
34.68  9
42.61  100
43.23  45
53.11  8
60.89  13
62.79  12
77.58  14
78.86  22

Crystal structure
Cell: 7.386 7.386 7.386 Å, 132.75 132.75 69.05°
Positions (direct):
Sc: 0.375 0.625 0.750
Sc: 0.625 0.375 0.250
Be: 0.125 0.875 0.250
Be: 0.875 0.125 0.750
Al: 0.135 0.385 0.750
Al: 0.385 0.135 0.250
Al: 0.615 0.865 0.750
Al: 0.865 0.615 0.250
Cu: 0.000 0.216 0.216
Cu: 0.000 0.784 0.784
Cu: 0.216 0.000 0.716
Cu: 0.216 0.500 0.216
Cu: 0.500 0.216 0.716
Cu: 0.500 0.784 0.284
Cu: 0.784 0.000 0.284
Cu: 0.784 0.500 0.784

[7]
Diffraction record for BeAlFe2. The XRD peak list is computed, not measured: it uses a DFT-relaxed cell (PBE, OQMD) and Cu Kα (weighted mean of Kα1 and Kα2).
Intensities are scaled so that the largest is 100.

Most intense lines, 2θ = 10–90°, in order of rising 2θ:
2θ (°)  I_rel
32.39  46
36.34  11
46.46  100
49.46  5
57.77  9
67.81  14
70.19  6
77.16  8
86.18  25
88.41  4

Crystal structure
Cell: 5.528 5.528 5.528 Å, 90.00 90.00 90.00°
Positions (direct):
Be: 0.000 0.000 0.000
Be: 0.000 0.000 0.500
Be: 0.000 0.500 0.000
Be: 0.500 0.000 0.000
Al: 0.000 0.500 0.500
Al: 0.500 0.000 0.500
Al: 0.500 0.500 0.000
Al: 0.500 0.500 0.500
Fe: 0.232 0.232 0.232
Fe: 0.232 0.232 0.768
Fe: 0.232 0.768 0.232
Fe: 0.232 0.768 0.768
Fe: 0.768 0.232 0.232
Fe: 0.768 0.232 0.768
Fe: 0.768 0.768 0.232
Fe: 0.768 0.768 0.768

[8]
Diffraction record for BeAlFeW. The XRD peak list is computed, not measured: it uses a DFT-relaxed cell (PBE, OQMD) and Cu Kα (weighted mean of Kα1 and Kα2).
Intensities are scaled so that the largest is 100.

Most intense lines, 2θ = 10–90°, in order of rising 2θ:
2θ (°)  I_rel
26.27  52
30.43  77
43.57  100
51.59  27
54.07  20
63.31  16
69.77  11
71.86  26
80.00  33
85.97  9

Crystal structure
Cell: 5.875 5.875 5.875 Å, 90.00 90.00 90.00°
Positions (direct):
Be: 0.000 0.000 0.000
Be: 0.000 0.500 0.500
Be: 0.500 0.000 0.500
Be: 0.500 0.500 0.000
Al: 0.000 0.000 0.500
Al: 0.000 0.500 0.000
Al: 0.500 0.000 0.000
Al: 0.500 0.500 0.500
Fe: 0.250 0.250 0.750
Fe: 0.250 0.750 0.250
Fe: 0.750 0.250 0.250
Fe: 0.750 0.750 0.750
W: 0.250 0.250 0.250
W: 0.250 0.750 0.750
W: 0.750 0.250 0.750
W: 0.750 0.750 0.250